Calculated powder XRD pattern
Compound: NaAc4Te6
Radiation: Cu Kα X-rays
Structure: a structure optimized by DFT (GGA-PBE)
No peak broadening, texture or thermal motion is included.

The 10 most intense peaks (2θ from 15° to 90°), low angle first:
- 19.29 deg, I = 29
- 23.61 deg, I = 67
- 27.56 deg, I = 40
- 28.99 deg, I = 100
- 30.82 deg, I = 48
- 32.24 deg, I = 86
- 34.09 deg, I = 27
- 36.39 deg, I = 44
- 41.62 deg, I = 30
- 58.22 deg, I = 38

```
data_NaAc4Te6
_chemical_formula_sum 'Na2 Ac8 Te12'
_cell_length_a 9.201
_cell_length_b 9.201
_cell_length_c 9.201
_cell_angle_alpha 90.56
_cell_angle_beta 90.56
_cell_angle_gamma 90.56
_space_group_name_H-M_alt 'P 1'
_space_group_IT_number 1
loop_
_space_group_symop_operation_xyz
'x,y,z'
loop_
_atom_site_label
_atom_site_fract_x
_atom_site_fract_y
_atom_site_fract_z
Na1 0.000 0.000 0.000
Na2 0.500 0.500 0.500
Ac1 0.140 0.750 0.360
Ac2 0.250 0.250 0.250
Ac3 0.250 0.640 0.860
Ac4 0.360 0.140 0.750
Ac5 0.640 0.860 0.250
Ac6 0.750 0.360 0.140
Ac7 0.750 0.750 0.750
Ac8 0.860 0.250 0.640
Te1 0.061 0.919 0.681
Te2 0.081 0.319 0.939
Te3 0.181 0.419 0.561
Te4 0.319 0.939 0.081
Te5 0.419 0.561 0.181
Te6 0.439 0.819 0.581
Te7 0.561 0.181 0.419
Te8 0.581 0.439 0.819
Te9 0.681 0.061 0.919
Te10 0.819 0.581 0.439
Te11 0.919 0.681 0.061
Te12 0.939 0.081 0.319
```

=====

Calculated powder XRD pattern
Compound: NaAc4Te5
Radiation: Cu Kα X-rays
Structure: a structure optimized by DFT (GGA-PBE)
No peak broadening, texture or thermal motion is included.

The 10 most intense peaks (2θ from 15° to 90°), low angle first:
- 26.67 deg, I = 100
- 37.98 deg, I = 40
- 38.16 deg, I = 39
- 47.01 deg, I = 22
- 54.93 deg, I = 14
- 61.96 deg, I = 19
- 62.21 deg, I = 19
- 68.73 deg, I = 14
- 87.33 deg, I = 8
- 87.55 deg, I = 8

```
data_NaAc4Te5
_chemical_formula_sum 'Na1 Ac4 Te5'
_cell_length_a 19.407
_cell_length_b 19.407
_cell_length_c 19.407
_cell_angle_alpha 14.02
_cell_angle_beta 14.02
_cell_angle_gamma 14.02
_space_group_name_H-M_alt 'P 1'
_space_group_IT_number 1
loop_
_space_group_symop_operation_xyz
'x,y,z'
loop_
_atom_site_label
_atom_site_fract_x
_atom_site_fract_y
_atom_site_fract_z
Na1 0.000 0.000 0.000
Ac1 0.200 0.200 0.200
Ac2 0.399 0.399 0.399
Ac3 0.601 0.601 0.601
Ac4 0.800 0.800 0.800
Te1 0.099 0.099 0.099
Te2 0.300 0.300 0.300
Te3 0.500 0.500 0.500
Te4 0.700 0.700 0.700
Te5 0.901 0.901 0.901
```

=====

Calculated powder XRD pattern
Compound: NaAc6Te8
Radiation: Cu Kα X-rays
Structure: a structure optimized by DFT (GGA-PBE)
No peak broadening, texture or thermal motion is included.

The 10 most intense peaks (2θ from 15° to 90°), low angle first:
- 18.82 deg, I = 14
- 26.74 deg, I = 100
- 29.96 deg, I = 9
- 38.17 deg, I = 79
- 47.22 deg, I = 29
- 55.09 deg, I = 14
- 62.27 deg, I = 38
- 69.00 deg, I = 28
- 81.69 deg, I = 9
- 87.84 deg, I = 19

```
data_NaAc6Te8
_chemical_formula_sum 'Na1 Ac6 Te8'
_cell_length_a 9.430
_cell_length_b 9.430
_cell_length_c 9.430
_cell_angle_alpha 60.00
_cell_angle_beta 60.00
_cell_angle_gamma 60.00
_space_group_name_H-M_alt 'P 1'
_space_group_IT_number 1
loop_
_space_group_symop_operation_xyz
'x,y,z'
loop_
_atom_site_label
_atom_site_fract_x
_atom_site_fract_y
_atom_site_fract_z
Na1 0.000 0.000 0.000
Ac1 0.000 0.000 0.500
Ac2 0.000 0.500 0.000
Ac3 0.000 0.500 0.500
Ac4 0.500 0.000 0.000
Ac5 0.500 0.000 0.500
Ac6 0.500 0.500 0.000
Te1 0.249 0.249 0.751
Te2 0.249 0.751 0.249
Te3 0.249 0.751 0.751
Te4 0.250 0.250 0.250
Te5 0.750 0.750 0.750
Te6 0.751 0.249 0.249
Te7 0.751 0.249 0.751
Te8 0.751 0.751 0.249
```

=====

Calculated powder XRD pattern
Compound: NaAc3Te4
Radiation: Cu Kα X-rays
Structure: a structure optimized by DFT (GGA-PBE)
No peak broadening, texture or thermal motion is included.

The 10 most intense peaks (2θ from 15° to 90°), low angle first:
- 22.11 deg, I = 9
- 26.72 deg, I = 100
- 38.04 deg, I = 13
- 38.18 deg, I = 65
- 47.10 deg, I = 14
- 47.28 deg, I = 14
- 55.06 deg, I = 14
- 62.24 deg, I = 25
- 68.84 deg, I = 14
- 69.07 deg, I = 14

```
data_NaAc3Te4
_chemical_formula_sum 'Na2 Ac6 Te8'
_cell_length_a 9.463
_cell_length_b 13.338
_cell_length_c 4.706
_cell_angle_alpha 90.00
_cell_angle_beta 90.00
_cell_angle_gamma 90.00
_space_group_name_H-M_alt 'P 1'
_space_group_IT_number 1
loop_
_space_group_symop_operation_xyz
'x,y,z'
loop_
_atom_site_label
_atom_site_fract_x
_atom_site_fract_y
_atom_site_fract_z
Na1 0.000 0.000 0.000
Na2 0.500 0.500 0.000
Ac1 0.000 0.500 0.000
Ac2 0.250 0.250 0.500
Ac3 0.250 0.750 0.500
Ac4 0.500 0.000 0.000
Ac5 0.750 0.250 0.500
Ac6 0.750 0.750 0.500
Te1 0.000 0.246 0.000
Te2 0.000 0.754 0.000
Te3 0.245 0.000 0.500
Te4 0.255 0.500 0.500
Te5 0.500 0.254 0.000
Te6 0.500 0.746 0.000
Te7 0.745 0.500 0.500
Te8 0.755 0.000 0.500
```

=====

Calculated powder XRD pattern
Compound: NaAcYTe3
Radiation: Cu Kα X-rays
Structure: a structure optimized by DFT (GGA-PBE)
No peak broadening, texture or thermal motion is included.

The 10 most intense peaks (2θ from 15° to 90°), low angle first:
- 26.86 deg, I = 38
- 27.58 deg, I = 48
- 28.16 deg, I = 100
- 28.61 deg, I = 78
- 30.74 deg, I = 29
- 33.16 deg, I = 29
- 35.59 deg, I = 34
- 39.67 deg, I = 43
- 40.37 deg, I = 29
- 45.77 deg, I = 29

```
data_NaAcYTe3
_chemical_formula_sum 'Na2 Ac2 Y2 Te6'
_cell_length_a 8.957
_cell_length_b 4.544
_cell_length_c 10.125
_cell_angle_alpha 90.00
_cell_angle_beta 106.62
_cell_angle_gamma 90.00
_space_group_name_H-M_alt 'P 1'
_space_group_IT_number 1
loop_
_space_group_symop_operation_xyz
'x,y,z'
loop_
_atom_site_label
_atom_site_fract_x
_atom_site_fract_y
_atom_site_fract_z
Na1 0.096 0.250 0.089
Na2 0.904 0.750 0.911
Ac1 0.207 0.250 0.738
Ac2 0.793 0.750 0.262
Y1 0.328 0.750 0.347
Y2 0.672 0.250 0.653
Te1 0.094 0.250 0.381
Te2 0.268 0.750 0.007
Te3 0.444 0.750 0.665
Te4 0.556 0.250 0.335
Te5 0.732 0.250 0.993
Te6 0.906 0.750 0.619
```

=====

Calculated powder XRD pattern
Compound: NaAc6Tl6
Radiation: Cu Kα X-rays
Structure: a structure optimized by DFT (GGA-PBE)
No peak broadening, texture or thermal motion is included.

The 10 most intense peaks (2θ from 15° to 90°), low angle first:
- 25.79 deg, I = 25
- 29.87 deg, I = 29
- 30.11 deg, I = 41
- 30.85 deg, I = 24
- 33.71 deg, I = 100
- 34.38 deg, I = 23
- 53.02 deg, I = 26
- 54.40 deg, I = 22
- 62.61 deg, I = 19
- 87.99 deg, I = 20

```
data_NaAc6Tl6
_chemical_formula_sum 'Na1 Ac6 Tl6'
_cell_length_a 6.909
_cell_length_b 6.909
_cell_length_c 11.595
_cell_angle_alpha 90.00
_cell_angle_beta 90.00
_cell_angle_gamma 120.00
_space_group_name_H-M_alt 'P 1'
_space_group_IT_number 1
loop_
_space_group_symop_operation_xyz
'x,y,z'
loop_
_atom_site_label
_atom_site_fract_x
_atom_site_fract_y
_atom_site_fract_z
Na1 0.000 0.000 0.000
Ac1 0.000 0.000 0.323
Ac2 0.000 0.000 0.677
Ac3 0.333 0.667 0.000
Ac4 0.333 0.667 0.500
Ac5 0.667 0.333 0.000
Ac6 0.667 0.333 0.500
Tl1 0.000 0.500 0.245
Tl2 0.000 0.500 0.755
Tl3 0.500 0.000 0.245
Tl4 0.500 0.000 0.755
Tl5 0.500 0.500 0.245
Tl6 0.500 0.500 0.755
```

=====

Calculated powder XRD pattern
Compound: NaAc2Tm
Radiation: Cu Kα X-rays
Structure: a structure optimized by DFT (GGA-PBE)
No peak broadening, texture or thermal motion is included.

The 10 most intense peaks (2θ from 15° to 90°), low angle first:
- 20.27 deg, I = 20
- 28.82 deg, I = 56
- 30.21 deg, I = 100
- 41.21 deg, I = 22
- 51.94 deg, I = 45
- 54.51 deg, I = 20
- 62.82 deg, I = 13
- 83.04 deg, I = 12
- 85.11 deg, I = 11
- 88.55 deg, I = 10

```
data_NaAc2Tm
_chemical_formula_sum 'Na1 Ac2 Tm1'
_cell_length_a 6.196
_cell_length_b 6.196
_cell_length_c 4.011
_cell_angle_alpha 90.00
_cell_angle_beta 90.00
_cell_angle_gamma 90.00
_space_group_name_H-M_alt 'P 1'
_space_group_IT_number 1
loop_
_space_group_symop_operation_xyz
'x,y,z'
loop_
_atom_site_label
_atom_site_fract_x
_atom_site_fract_y
_atom_site_fract_z
Na1 0.000 0.000 0.000
Ac1 0.000 0.500 0.500
Ac2 0.500 0.000 0.500
Tm1 0.500 0.500 0.000
```

=====

Calculated powder XRD pattern
Compound: AcNdNb2O8
Radiation: Cu Kα X-rays
Structure: a structure optimized by DFT (GGA-PBE)
No peak broadening, texture or thermal motion is included.

The 10 most intense peaks (2θ from 15° to 90°), low angle first:
- 17.85 deg, I = 12
- 27.53 deg, I = 100
- 30.17 deg, I = 15
- 32.73 deg, I = 22
- 45.11 deg, I = 31
- 46.96 deg, I = 14
- 51.99 deg, I = 17
- 55.30 deg, I = 29
- 56.84 deg, I = 12
- 72.62 deg, I = 20

```
data_AcNdNb2O8
_chemical_formula_sum 'Ac1 Nd1 Nb2 O8'
_cell_length_a 7.076
_cell_length_b 7.076
_cell_length_c 7.076
_cell_angle_alpha 134.50
_cell_angle_beta 134.50
_cell_angle_gamma 66.30
_space_group_name_H-M_alt 'P 1'
_space_group_IT_number 1
loop_
_space_group_symop_operation_xyz
'x,y,z'
loop_
_atom_site_label
_atom_site_fract_x
_atom_site_fract_y
_atom_site_fract_z
Ac1 0.000 0.000 0.000
Nd1 0.250 0.750 0.500
Nb1 0.500 0.500 0.000
Nb2 0.750 0.250 0.500
O1 0.263 0.661 0.099
O2 0.339 0.438 0.602
O3 0.422 0.002 0.089
O4 0.562 0.164 0.901
O5 0.667 0.578 0.580
O6 0.836 0.737 0.398
O7 0.913 0.333 0.911
O8 0.998 0.087 0.420
```

=====

Calculated powder XRD pattern
Compound: Ac2Nb3O10
Radiation: Cu Kα X-rays
Structure: a structure optimized by DFT (GGA-PBE)
No peak broadening, texture or thermal motion is included.

The 10 most intense peaks (2θ from 15° to 90°), low angle first:
- 27.44 deg, I = 100
- 27.58 deg, I = 16
- 27.76 deg, I = 52
- 28.46 deg, I = 42
- 30.09 deg, I = 23
- 41.89 deg, I = 27
- 43.64 deg, I = 19
- 51.83 deg, I = 21
- 52.64 deg, I = 20
- 55.88 deg, I = 16

```
data_Ac2Nb3O10
_chemical_formula_sum 'Ac4 Nb6 O20'
_cell_length_a 9.866
_cell_length_b 9.866
_cell_length_c 7.913
_cell_angle_alpha 111.36
_cell_angle_beta 111.36
_cell_angle_gamma 35.04
_space_group_name_H-M_alt 'P 1'
_space_group_IT_number 1
loop_
_space_group_symop_operation_xyz
'x,y,z'
loop_
_atom_site_label
_atom_site_fract_x
_atom_site_fract_y
_atom_site_fract_z
Ac1 0.104 0.104 0.218
Ac2 0.208 0.208 0.827
Ac3 0.792 0.792 0.173
Ac4 0.896 0.896 0.782
Nb1 0.233 0.767 0.500
Nb2 0.317 0.317 0.473
Nb3 0.419 0.419 0.034
Nb4 0.581 0.581 0.966
Nb5 0.683 0.683 0.527
Nb6 0.767 0.233 0.500
O1 0.000 0.500 0.500
O2 0.017 0.017 0.702
O3 0.105 0.592 0.010
O4 0.127 0.651 0.466
O5 0.270 0.270 0.214
O6 0.270 0.730 0.000
O7 0.349 0.873 0.534
O8 0.373 0.373 0.750
O9 0.408 0.895 0.990
O10 0.474 0.474 0.302
O11 0.500 0.000 0.500
O12 0.526 0.526 0.698
O13 0.592 0.105 0.010
O14 0.627 0.627 0.250
O15 0.651 0.127 0.466
O16 0.730 0.270 0.000
O17 0.730 0.730 0.786
O18 0.873 0.349 0.534
O19 0.895 0.408 0.990
O20 0.983 0.983 0.298
```

=====

Calculated powder XRD pattern
Compound: Ac3NbO7
Radiation: Cu Kα X-rays
Structure: a structure optimized by DFT (GGA-PBE)
No peak broadening, texture or thermal motion is included.

The 10 most intense peaks (2θ from 15° to 90°), low angle first:
- 25.33 deg, I = 15
- 27.01 deg, I = 100
- 27.52 deg, I = 80
- 29.72 deg, I = 18
- 30.86 deg, I = 23
- 31.94 deg, I = 42
- 45.01 deg, I = 42
- 45.15 deg, I = 17
- 47.84 deg, I = 14
- 53.69 deg, I = 26

```
data_Ac3NbO7
_chemical_formula_sum 'Ac6 Nb2 O14'
_cell_length_a 6.991
_cell_length_b 6.991
_cell_length_c 8.033
_cell_angle_alpha 90.00
_cell_angle_beta 90.00
_cell_angle_gamma 68.01
_space_group_name_H-M_alt 'P 1'
_space_group_IT_number 1
loop_
_space_group_symop_operation_xyz
'x,y,z'
loop_
_atom_site_label
_atom_site_fract_x
_atom_site_fract_y
_atom_site_fract_z
Ac1 0.000 0.000 0.000
Ac2 0.000 0.000 0.500
Ac3 0.077 0.473 0.750
Ac4 0.473 0.077 0.250
Ac5 0.527 0.923 0.750
Ac6 0.923 0.527 0.250
Nb1 0.500 0.500 0.000
Nb2 0.500 0.500 0.500
O1 0.104 0.156 0.250
O2 0.156 0.104 0.750
O3 0.195 0.560 0.032
O4 0.195 0.560 0.468
O5 0.440 0.560 0.750
O6 0.440 0.805 0.032
O7 0.440 0.805 0.468
O8 0.560 0.195 0.532
O9 0.560 0.195 0.968
O10 0.560 0.440 0.250
O11 0.805 0.440 0.532
O12 0.805 0.440 0.968
O13 0.844 0.896 0.250
O14 0.896 0.844 0.750
```

=====

Calculated powder XRD pattern
Compound: AcPaNbO6
Radiation: Cu Kα X-rays
Structure: a structure optimized by DFT (GGA-PBE)
No peak broadening, texture or thermal motion is included.

The 10 most intense peaks (2θ from 15° to 90°), low angle first:
- 24.21 deg, I = 100
- 30.60 deg, I = 96
- 34.50 deg, I = 28
- 46.77 deg, I = 72
- 49.59 deg, I = 18
- 55.92 deg, I = 19
- 57.93 deg, I = 18
- 59.40 deg, I = 20
- 70.54 deg, I = 18
- 80.96 deg, I = 14

```
data_AcPaNbO6
_chemical_formula_sum 'Ac2 Pa2 Nb2 O12'
_cell_length_a 5.199
_cell_length_b 5.199
_cell_length_c 10.597
_cell_angle_alpha 90.00
_cell_angle_beta 90.00
_cell_angle_gamma 90.00
_space_group_name_H-M_alt 'P 1'
_space_group_IT_number 1
loop_
_space_group_symop_operation_xyz
'x,y,z'
loop_
_atom_site_label
_atom_site_fract_x
_atom_site_fract_y
_atom_site_fract_z
Ac1 0.000 0.000 0.000
Ac2 0.500 0.500 0.500
Pa1 0.000 0.000 0.663
Pa2 0.500 0.500 0.163
Nb1 0.000 0.000 0.333
Nb2 0.500 0.500 0.833
O1 0.172 0.172 0.490
O2 0.210 0.210 0.183
O3 0.228 0.228 0.809
O4 0.272 0.728 0.309
O5 0.290 0.710 0.683
O6 0.328 0.672 0.990
O7 0.672 0.328 0.990
O8 0.710 0.290 0.683
O9 0.728 0.272 0.309
O10 0.772 0.772 0.809
O11 0.790 0.790 0.183
O12 0.828 0.828 0.490
```

=====

Calculated powder XRD pattern
Compound: RbAcNbO5
Radiation: Cu Kα X-rays
Structure: a structure optimized by DFT (GGA-PBE)
No peak broadening, texture or thermal motion is included.

The 10 most intense peaks (2θ from 15° to 90°), low angle first:
- 22.31 deg, I = 100
- 24.03 deg, I = 72
- 27.67 deg, I = 89
- 27.79 deg, I = 61
- 30.39 deg, I = 30
- 30.62 deg, I = 34
- 35.48 deg, I = 27
- 42.66 deg, I = 24
- 44.58 deg, I = 28
- 49.34 deg, I = 22

```
data_RbAcNbO5
_chemical_formula_sum 'Rb2 Ac2 Nb2 O10'
_cell_length_a 6.711
_cell_length_b 6.711
_cell_length_c 8.695
_cell_angle_alpha 103.52
_cell_angle_beta 103.52
_cell_angle_gamma 106.36
_space_group_name_H-M_alt 'P 1'
_space_group_IT_number 1
loop_
_space_group_symop_operation_xyz
'x,y,z'
loop_
_atom_site_label
_atom_site_fract_x
_atom_site_fract_y
_atom_site_fract_z
Rb1 0.169 0.831 0.750
Rb2 0.831 0.169 0.250
Ac1 0.500 0.500 0.000
Ac2 0.500 0.500 0.500
Nb1 0.183 0.817 0.250
Nb2 0.817 0.183 0.750
O1 0.102 0.258 0.893
O2 0.194 0.622 0.375
O3 0.258 0.102 0.393
O4 0.378 0.806 0.125
O5 0.440 0.560 0.750
O6 0.560 0.440 0.250
O7 0.622 0.194 0.875
O8 0.742 0.898 0.607
O9 0.806 0.378 0.625
O10 0.898 0.742 0.107
```